# 1
Diffraction record for CaSn3S7. The powder diffraction line list is theoretical, not measured: it uses a cell relaxed with PBE and Cu Kα X-rays.
Peak positions follow from Bragg's law for the DFT cell and can differ from measured ones.

```
data_CaSn3S7
_cell_length_a 13.4219
_cell_length_b 13.4496
_cell_length_c 6.8177
_cell_angle_alpha 90.00
_cell_angle_beta 90.00
_cell_angle_gamma 90.00
_space_group_name_H-M_alt 'P n m a'
_space_group_IT_number 62
loop_
_space_group_symop_operation_xyz
'x,y,z'
'-x,-y,-z'
'-x+1/2,-y,z+1/2'
'x+1/2,y,-z+1/2'
'x+1/2,-y+1/2,-z+1/2'
'-x+1/2,y+1/2,z+1/2'
'-x,y+1/2,-z'
'x,-y+1/2,z'
loop_
_atom_site_label
_atom_site_fract_x
_atom_site_fract_y
_atom_site_fract_z
Ca1 0.0574 0.2500 0.1811
Sn1 0.1838 0.5228 0.7181
Sn2 0.2065 0.7500 0.1994
S1 0.0162 0.5656 0.7258
S2 0.0339 0.7500 0.1911
S3 0.2061 0.1219 0.4642
S4 0.2146 0.1237 0.9588
```

Most intense lines, 2θ from 10° to 90°, in order of rising 2θ:
hkl 2 0 0, 2θ = 13.19°, 6.712 Å, intensity 82; hkl 2 1 1, 2θ = 19.70°, 4.507 Å, intensity 29; hkl 2 2 1, 2θ = 22.82°, 3.897 Å, intensity 100; hkl 0 3 1, 2θ = 23.75°, 3.746 Å, intensity 44; hkl 0 0 2, 2θ = 26.14°, 3.409 Å, intensity 23; hkl 0 4 0, 2θ = 26.53°, 3.360 Å, intensity 24; hkl 4 2 1, 2θ = 32.59°, 2.748 Å, intensity 34; hkl 0 4 2, 2θ = 37.57°, 2.394 Å, intensity 37; hkl 1 4 2, 2θ = 38.20°, 2.356 Å, intensity 28; hkl 6 2 1, 2θ = 44.70°, 2.027 Å, intensity 40

=====

# 2
Diffraction record for Ca3SnS5. The powder diffraction line list is theoretical, not measured: it uses a cell relaxed with PBE and Cu Kα X-rays.
Peak positions follow from Bragg's law for the DFT cell and can differ from measured ones.

```
data_Ca3SnS5
_cell_length_a 7.7038
_cell_length_b 7.7038
_cell_length_c 14.2289
_cell_angle_alpha 90.00
_cell_angle_beta 90.00
_cell_angle_gamma 90.00
_space_group_name_H-M_alt 'I 4/m c m'
_space_group_IT_number 140
_space_group_name_Hall '-I 4 2c'
loop_
_atom_site_label
_atom_site_fract_x
_atom_site_fract_y
_atom_site_fract_z
Ca1 0.0000 0.0000 0.2500
Ca2 0.1628 0.3372 0.0000
Sn1 0.0000 0.5000 0.2500
S1 0.0000 0.0000 0.0000
S2 0.1644 0.3356 0.3576
```

Most intense lines, 2θ from 10° to 90°, in order of rising 2θ:
hkl 1 1 0, 2θ = 16.27°, 5.447 Å, intensity 56; hkl 1 1 2, 2θ = 20.53°, 4.325 Å, intensity 59; hkl 2 0 2, 2θ = 26.31°, 3.387 Å, intensity 83; hkl 2 1 3, 2θ = 32.11°, 2.787 Å, intensity 100; hkl 2 2 0, 2θ = 32.88°, 2.724 Å, intensity 58; hkl 2 0 4, 2θ = 34.31°, 2.613 Å, intensity 80; hkl 3 1 2, 2θ = 39.08°, 2.305 Å, intensity 49; hkl 2 2 4, 2θ = 41.77°, 2.163 Å, intensity 35; hkl 2 0 6, 2θ = 44.88°, 2.019 Å, intensity 35; hkl 3 1 6, 2θ = 53.96°, 1.699 Å, intensity 36

=====

# 3
Diffraction record for CaSnS3. The powder diffraction line list is theoretical, not measured: it uses a cell relaxed with PBE and Cu Kα X-rays.
Peak positions follow from Bragg's law for the DFT cell and can differ from measured ones.

```
data_CaSnS3
_cell_length_a 12.1811
_cell_length_b 6.7550
_cell_length_c 15.3458
_cell_angle_alpha 90.00
_cell_angle_beta 93.49
_cell_angle_gamma 90.00
_space_group_name_H-M_alt 'C 1 2/m 1'
_space_group_IT_number 12
loop_
_space_group_symop_operation_xyz
'x,y,z'
'-x,-y,-z'
'-x,y,-z'
'x,-y,z'
'x+1/2,y+1/2,z'
'-x+1/2,-y+1/2,-z'
'-x+1/2,y+1/2,-z'
'x+1/2,-y+1/2,z'
loop_
_atom_site_label
_atom_site_fract_x
_atom_site_fract_y
_atom_site_fract_z
Ca1 0.0000 0.0000 0.0000
Ca2 0.1629 0.5000 0.8638
Ca3 0.2373 0.5000 0.3814
Sn1 0.0000 0.0000 0.5000
Sn2 0.0397 0.0000 0.2909
Sn3 0.1886 0.5000 0.1139
S1 0.0000 0.5000 0.0000
S2 0.0619 0.2500 0.6224
S3 0.0871 0.0000 0.8434
S4 0.1849 0.2416 0.2311
S5 0.1876 0.0000 0.4342
S6 0.2500 0.2500 0.0000
```

Most intense lines, 2θ from 10° to 90°, in order of rising 2θ:
hkl 1 1 0, 2θ = 15.00°, 5.905 Å, intensity 51; hkl 2 0 1, 2θ = 15.96°, 5.552 Å, intensity 100; hkl 1 1 -2, 2θ = 18.70°, 4.745 Å, intensity 21; hkl 2 0 3, 2θ = 23.39°, 3.803 Å, intensity 23; hkl 3 1 0, 2θ = 25.63°, 3.475 Å, intensity 46; hkl 0 2 0, 2θ = 26.39°, 3.378 Å, intensity 29; hkl 2 2 -4, 2θ = 37.93°, 2.372 Å, intensity 55; hkl 2 2 4, 2θ = 39.08°, 2.305 Å, intensity 26; hkl 3 1 5, 2θ = 40.21°, 2.242 Å, intensity 25; hkl 5 1 -4, 2θ = 44.98°, 2.016 Å, intensity 21

=====

# 4
Diffraction record for CaSnS3. The powder diffraction line list is theoretical, not measured: it uses a cell relaxed with PBE and Cu Kα X-rays.
Peak positions follow from Bragg's law for the DFT cell and can differ from measured ones.

```
data_CaSnS3
_cell_length_a 5.0111
_cell_length_b 5.0111
_cell_length_c 5.0111
_cell_angle_alpha 90.00
_cell_angle_beta 90.00
_cell_angle_gamma 90.00
_space_group_name_H-M_alt 'P m -3 m'
_space_group_IT_number 221
_space_group_name_Hall '-P 4 2 3'
loop_
_atom_site_label
_atom_site_fract_x
_atom_site_fract_y
_atom_site_fract_z
Ca1 0.0000 0.0000 0.0000
Sn1 0.5000 0.5000 0.5000
S1 0.0000 0.5000 0.5000
```

Most intense lines, 2θ from 10° to 90°, in order of rising 2θ:
hkl 1 0 0, 2θ = 17.70°, 5.011 Å, intensity 87; hkl 1 1 0, 2θ = 25.13°, 3.543 Å, intensity 100; hkl 2 0 0, 2θ = 35.84°, 2.506 Å, intensity 82; hkl 2 1 0, 2θ = 40.24°, 2.241 Å, intensity 44; hkl 2 1 1, 2θ = 44.28°, 2.046 Å, intensity 46; hkl 2 2 0, 2θ = 51.59°, 1.772 Å, intensity 55; hkl 3 0 0, 2θ = 54.97°, 1.670 Å, intensity 23; hkl 3 1 0, 2θ = 58.22°, 1.585 Å, intensity 21; hkl 3 2 1, 2θ = 70.29°, 1.339 Å, intensity 24; hkl 4 2 0, 2θ = 86.94°, 1.121 Å, intensity 26